1.
Calculated powder X-ray diffraction pattern
Compound: RePd3Rh6
Radiation: Cu Kα, 1.54184 Å
Structure: a DFT-relaxed cell (GGA-PBE, Alexandria)

Atomic structure:
a = 5.1280 Å, b = 5.1280 Å, c = 6.8708 Å
α = 90.00°, β = 90.00°, γ = 120.00°
Space group P-31m (No. 162)
One atom of each set of equivalent atoms:
Re (0.0000, 0.0000, 0.0000) x1
Pd (0.0000, 0.0000, 0.5000) x1
Pd (0.3333, 0.6667, 0.5000) x2
Rh (0.0000, 0.4100, 0.8177) x6

Peak list (10 most intense, 5° ≤ 2θ ≤ 70°, by intensity)
- 44.07 deg, rel. 100, (1 1 2)
- 37.44 deg, rel. 58, (2 -1 1)
- 40.63 deg, rel. 37, (2 0 0)
- 32.96 deg, rel. 31, (1 0 2)
- 65.40 deg, rel. 25, (2 -1 4)
- 42.80 deg, rel. 23, (2 0 1)
- 39.34 deg, rel. 23, (0 0 3)
- 62.77 deg, rel. 18, (3 0 0)
- 44.51 deg, rel. 18, (1 0 3)
- 56.43 deg, rel. 16, (3 -1 1)

***

2.
Calculated powder X-ray diffraction pattern
Compound: RePdRh2
Radiation: Cu Kα, 1.54184 Å
Structure: a DFT-relaxed cell (GGA-PBE, Alexandria)

Atomic structure:
a = 2.740 Å, b = 2.740 Å, c = 7.803 Å
α = 90.00°, β = 90.00°, γ = 90.00°
Space group P4/mmm (No. 123)
One atom of each set of equivalent atoms:
Re (0.000, 0.000, 0.000) x1
Pd (0.000, 0.000, 0.500) x1
Rh (0.500, 0.500, 0.237) x2

Peak list (10 most intense, 5° ≤ 2θ ≤ 70°, by intensity)
- 40.22 deg, rel. 100, (1 0 2)
- 46.89 deg, rel. 32, (1 1 0)
- 68.22 deg, rel. 20, (1 1 4)
- 11.34 deg, rel. 17, (0 0 1)
- 46.56 deg, rel. 16, (0 0 4)
- 68.48 deg, rel. 10, (2 0 0)
- 48.24 deg, rel. 4, (1 0 3)
- 22.79 deg, rel. 3, (0 0 2)
- 32.68 deg, rel. 2, (1 0 0)
- 48.40 deg, rel. 2, (1 1 1)

***

3.
Calculated powder X-ray diffraction pattern
Compound: RePdRuRh2
Radiation: Cu Kα, 1.54184 Å
Structure: a DFT-relaxed cell (GGA-PBE, Alexandria)

Atomic structure:
a = 4.641 Å, b = 4.641 Å, c = 4.776 Å
α = 90.00°, β = 90.00°, γ = 90.00°
Space group P4/mmm (No. 123)
One atom of each set of equivalent atoms:
Re (0.000, 0.000, 0.000) x1
Pd (0.000, 0.000, 0.500) x1
Ru (0.500, 0.500, 0.500) x1
Rh (0.000, 0.500, 0.000) x2

Peak list (10 most intense, 5° ≤ 2θ ≤ 70°, by intensity)
- 38.81 deg, rel. 100, (2 0 0)
- 55.19 deg, rel. 71, (2 0 2)
- 19.12 deg, rel. 57, (1 0 0)
- 37.67 deg, rel. 54, (0 0 2)
- 33.12 deg, rel. 49, (1 1 1)
- 26.78 deg, rel. 46, (1 0 1)
- 69.51 deg, rel. 35, (2 2 2)
- 56.05 deg, rel. 34, (2 2 0)
- 18.58 deg, rel. 29, (0 0 1)
- 27.17 deg, rel. 23, (1 1 0)

***

4.
Calculated powder X-ray diffraction pattern
Compound: RePdRu3
Radiation: Cu Kα, 1.54184 Å
Structure: a DFT-relaxed cell (GGA-PBE, Alexandria)

Atomic structure:
a = 4.652 Å, b = 4.652 Å, c = 4.652 Å
α = 90.00°, β = 90.00°, γ = 90.00°
Space group Pm-3m (No. 221)
One atom of each set of equivalent atoms:
Re (0.000, 0.000, 0.000) x1
Pd (0.500, 0.500, 0.500) x1
Ru (0.000, 0.000, 0.500) x3

Peak list (10 most intense, 5° ≤ 2θ ≤ 70°, by intensity)
- 38.71 deg, rel. 100, (2 0 0)
- 55.90 deg, rel. 68, (2 2 0)
- 19.08 deg, rel. 52, (1 0 0)
- 27.11 deg, rel. 50, (1 1 0)
- 33.36 deg, rel. 31, (1 1 1)
- 43.50 deg, rel. 26, (2 1 0)
- 47.90 deg, rel. 22, (2 1 1)
- 59.62 deg, rel. 13, (3 0 0)
- 66.68 deg, rel. 11, (3 1 1)
- 63.21 deg, rel. 10, (3 1 0)

***

5.
Calculated powder X-ray diffraction pattern
Compound: Re2PdS6
Radiation: Cu Kα, 1.54184 Å
Structure: a DFT-relaxed cell (GGA-PBE, Alexandria)

Atomic structure:
a = 11.462 Å, b = 4.461 Å, c = 7.785 Å
α = 90.00°, β = 115.99°, γ = 90.00°
Space group C2/m (No. 12)
One atom of each set of equivalent atoms:
Re (0.190, 0.000, 0.140) x4
Pd (0.000, 0.000, 0.500) x2
S (0.012, 0.000, 0.201) x4
S (0.150, 0.500, 0.573) x4
S (0.194, 0.500, 0.052) x4

Peak list (10 most intense, 5° ≤ 2θ ≤ 70°, by intensity)
- 25.57 deg, rel. 100, (2 0 1)
- 23.18 deg, rel. 89, (1 1 -1)
- 21.71 deg, rel. 82, (1 1 0)
- 30.84 deg, rel. 81, (3 1 -1)
- 23.66 deg, rel. 76, (2 0 -2)
- 40.44 deg, rel. 58, (0 2 0)
- 48.80 deg, rel. 58, (5 1 -3)
- 27.08 deg, rel. 51, (1 1 1)
- 12.65 deg, rel. 49, (0 0 1)
- 48.69 deg, rel. 39, (5 1 0)

***

6.
Calculated powder X-ray diffraction pattern
Compound: ScRePd3
Radiation: Cu Kα, 1.54184 Å
Structure: a DFT-relaxed cell (GGA-PBE, Alexandria)

Atomic structure:
a = 4.797 Å, b = 4.797 Å, c = 4.797 Å
α = 90.00°, β = 90.00°, γ = 90.00°
Space group Pm-3m (No. 221)
One atom of each set of equivalent atoms:
Sc (0.000, 0.000, 0.000) x1
Re (0.500, 0.500, 0.500) x1
Pd (0.000, 0.500, 0.500) x3

Peak list (10 most intense, 5° ≤ 2θ ≤ 70°, by intensity)
- 18.50 deg, rel. 100, (1 0 0)
- 37.50 deg, rel. 86, (2 0 0)
- 54.08 deg, rel. 59, (2 2 0)
- 42.12 deg, rel. 50, (2 1 0)
- 57.65 deg, rel. 25, (3 0 0)
- 26.28 deg, rel. 20, (1 1 0)
- 32.33 deg, rel. 20, (1 1 1)
- 67.66 deg, rel. 20, (2 2 2)
- 46.37 deg, rel. 9, (2 1 1)
- 64.42 deg, rel. 7, (3 1 1)